For Li2Fe2Pt, a cell relaxed with GGA-PBE gives the theoretical powder diffraction line list in this record (a wavelength of 1.5418 Å).
Neutral-atom scattering factors, no anomalous dispersion.

Peak list (8 most intense, 2θ = 10–90°, by intensity)
two_theta, d_spacing, intensity
25.2, 3.540, 100
42.0, 2.153, 57
42.9, 2.110, 53
27.7, 3.220, 47
34.5, 2.599, 45
13.8, 6.439, 35
49.3, 1.848, 35
51.0, 1.789, 35

Cell and atoms:
Cell: 2.654 3.681 12.879 Å, 90.00 90.00 90.00°
Space group Immm (No. 71)
One atom of each set of equivalent atoms:
Li  0.000  0.000  0.096 [4 per cell]
Fe  0.000  0.000  0.295 [4 per cell]
Pt  0.000  0.000  0.500 [2 per cell]



For LiFe3S5, a cell relaxed with GGA-PBE gives the theoretical powder diffraction line list in this record (a wavelength of 1.5418 Å).
Neutral-atom scattering factors, no anomalous dispersion.

Peak list (8 most intense, 2θ = 10–90°, by intensity)
two_theta, d_spacing, intensity
13.8, 6.431, 100
47.9, 1.897, 41
40.9, 2.207, 36
18.9, 4.700, 27
43.6, 2.074, 16
38.3, 2.350, 12
58.3, 1.584, 12
33.0, 2.714, 10

Cell and atoms:
Cell: 5.4277 5.4277 6.4312 Å, 90.00 90.00 120.00°
Space group P6/mmm (No. 191)
One atom of each set of equivalent atoms:
Li  0.0000  0.0000  0.0000 [1 per cell]
Fe  0.0000  0.5000  0.5000 [3 per cell]
S  0.0000  0.0000  0.5000 [1 per cell]
S  0.3333  0.6667  0.2499 [4 per cell]